Record 1
Computed PXRD pattern
Compound: LiBi3Br2O4
Radiation: Cu Kα (λ = 1.5418 Å)
Structure: a GGA-PBE-relaxed structure

Main lines, sorted by position (10° ≤ 2θ ≤ 80°):
| Position (°2θ) | I/Imax |
| --- | --- |
| 30.80 | 100 |
| 32.26 | 38 |
| 46.27 | 20 |
| 53.83 | 22 |
| 56.55 | 20 |
| 56.68 | 18 |

Structure:
```
LiBi3Br2O4
1.0
2.7790 -6.4713 0.0000
2.7790 6.4713 0.0000
0.0000 0.0000 11.0834
Li Bi Br O
2 6 4 8
Cartesian
2.7790 3.6761 8.3125
2.7790 -3.6761 2.7708
2.7790 4.5380 2.7708
2.7790 2.0909 0.0855
2.7790 2.0909 5.4562
2.7790 -2.0909 5.6271
2.7790 -2.0909 10.9979
2.7790 -4.5380 8.3125
0.0000 0.0000 0.0000
0.0000 0.0000 5.5417
2.7790 0.0926 8.3125
2.7790 -0.0926 2.7708
1.3687 3.1216 6.9101
1.3687 3.1216 9.7149
1.3687 -3.1216 1.3685
1.3687 -3.1216 4.1732
4.1894 3.1216 6.9101
4.1894 3.1216 9.7149
4.1894 -3.1216 1.3685
4.1894 -3.1216 4.1732
```

Record 2
Computed PXRD pattern
Compound: Mg2BiBr
Radiation: Cu Kα (λ = 1.5418 Å)
Structure: a GGA-PBE-relaxed structure

Main lines, sorted by position (10° ≤ 2θ ≤ 80°):
| Position (°2θ) | I/Imax |
| --- | --- |
| 11.92 | 59 |
| 23.56 | 41 |
| 23.77 | 100 |
| 23.96 | 39 |
| 27.29 | 46 |
| 38.98 | 33 |

Structure:
```
Mg2BiBr
1.0
4.5976 0.0000 0.0000
2.2764 3.9956 0.0000
2.1188 1.2159 7.4274
Mg Bi Br
2 1 1
Cartesian
0.0000 0.0000 0.0000
2.2763 1.3216 2.5699
4.5415 2.6426 1.2810
1.5068 0.9171 4.9709
```

Record 3
Computed PXRD pattern
Compound: Mg2BiBr
Radiation: Cu Kα (λ = 1.5418 Å)
Structure: a GGA-PBE-relaxed structure

Main lines, sorted by position (10° ≤ 2θ ≤ 80°):
| Position (°2θ) | I/Imax |
| --- | --- |
| 16.37 | 46 |
| 23.86 | 100 |
| 24.49 | 74 |
| 25.10 | 48 |
| 35.95 | 57 |
| 44.18 | 48 |

Structure:
```
Mg2BiBr
1.0
2.2774 -8.4897 0.0000
2.2774 8.4897 0.0000
0.0000 0.0000 7.0337
Mg Bi Br
4 2 2
Cartesian
2.2774 7.0102 3.5168
2.2774 5.1711 6.3784
2.2774 -5.1711 2.8615
2.2774 -7.0102 0.0000
2.2774 2.8905 1.0535
2.2774 -2.8905 4.5704
2.2774 7.4497 0.9194
2.2774 -7.4497 4.4363
```

Record 4
Computed PXRD pattern
Compound: Mg2BiBr
Radiation: Cu Kα (λ = 1.5418 Å)
Structure: a GGA-PBE-relaxed structure

Main lines, sorted by position (10° ≤ 2θ ≤ 80°):
| Position (°2θ) | I/Imax |
| --- | --- |
| 24.33 | 100 |
| 24.65 | 46 |
| 24.81 | 55 |
| 25.14 | 76 |
| 25.36 | 69 |
| 27.65 | 46 |

Structure:
```
Mg2BiBr
1.0
4.7180 0.0000 0.0000
-0.5256 7.3843 0.0000
-1.8025 -2.7048 7.1763
Mg Bi Br
4 2 2
Cartesian
0.0000 0.0000 0.0000
-0.4074 2.8659 2.9781
0.2391 1.1506 5.5650
1.5100 5.9029 3.7601
-0.3305 -0.0214 2.8936
0.0223 4.0357 5.6438
1.9809 3.8032 2.0129
2.5892 0.1382 6.5505
```

Record 5
Computed PXRD pattern
Compound: Mg2BiBr
Radiation: Cu Kα (λ = 1.5418 Å)
Structure: a GGA-PBE-relaxed structure

Main lines, sorted by position (10° ≤ 2θ ≤ 80°):
| Position (°2θ) | I/Imax |
| --- | --- |
| 12.39 | 89 |
| 24.92 | 52 |
| 25.25 | 100 |
| 26.17 | 61 |
| 33.06 | 53 |
| 40.62 | 71 |

Structure:
```
Mg2BiBr
1.0
7.1674 0.0000 0.0000
0.0000 4.6440 0.0000
-0.6043 0.0000 7.5897
Mg Bi Br
4 2 2
Cartesian
0.0000 0.7282 0.0000
-0.3021 3.9157 3.7949
4.2770 0.7924 2.3338
3.9749 3.8515 6.1287
5.3261 1.5203 4.9663
5.6282 3.1237 1.1714
1.6648 0.7553 2.2308
1.3626 3.8886 6.0256
```

Record 6
Computed PXRD pattern
Compound: Mg2BiBr
Radiation: Cu Kα (λ = 1.5418 Å)
Structure: a GGA-PBE-relaxed structure

Main lines, sorted by position (10° ≤ 2θ ≤ 80°):
| Position (°2θ) | I/Imax |
| --- | --- |
| 10.13 | 36 |
| 23.51 | 100 |
| 24.09 | 75 |
| 35.68 | 26 |
| 35.83 | 28 |
| 41.36 | 26 |

Structure:
```
Mg2BiBr
1.0
4.6745 0.0000 0.0000
0.0000 6.9299 0.0000
-2.2618 0.0000 8.7336
Mg Bi Br
4 2 2
Cartesian
0.0000 1.6517 0.0000
0.0000 5.2782 0.0000
0.0779 1.8120 6.1920
0.0779 5.1179 6.1920
0.0773 3.4650 8.7084
2.4163 0.0000 6.2183
0.0268 0.0000 1.9468
0.1078 3.4650 4.2462
```